This entry pairs a crystal structure of Na4Tb3TmS8 with its simulated powder XRD pattern. Radiation: Cu Kα (λ = 1.5418 Å). Structure: DFT lattice parameters and positions (GGA-PBE).

Most intense lines, 2θ = 10–80°, by intensity:
2θ/deg  Rel. int.  index
31.47  100  0 2 4
13.25  87  0 0 3
26.19  44  0 2 1
44.69  36  2 0 8
45.51  35  2 2 0
27.32  31  2 0 2
47.61  21  2 2 3
40.95  19  0 2 7
56.38  18  4 0 4
34.28  18  2 0 5

```
data_Na4Tb3TmS8
_chemical_formula_sum 'Na12 Tb9 Tm3 S24'
_symmetry_space_group_name_H-M 'R -3 m'
_symmetry_Int_Tables_number 166
_symmetry_space_group_name_Hall '-R 3 2"'
_cell_length_a 7.9728
_cell_length_b 7.9728
_cell_length_c 20.0448
_cell_angle_alpha 90.00
_cell_angle_beta 90.00
_cell_angle_gamma 120.00
loop_
_atom_site_label
_atom_site_fract_x
_atom_site_fract_y
_atom_site_fract_z
_atom_site_occupancy
Na1 0.0000 0.0000 0.0000 1
Na2 0.0000 0.5000 0.0000 1
Tb1 0.0000 0.5000 0.5000 1
Tm1 0.0000 0.0000 0.5000 1
S1 0.0000 0.0000 0.2427 1
S2 0.0040 0.5020 0.2420 1
```